Structure and theoretical powder diffractogram of KNa2PmBr6 (a crystal structure in Alexandria, relaxed with PBE; Cu Ka).
Kinematic intensities with the Lorentz-polarization factor, no thermal factor.

Cell and atoms:
abc: 7.6548 7.6548 20.8898
angles: 90.00 90.00 120.00
Space group R3 (No. 146, hexagonal axes)
Asymmetric unit:
K  0.0000  0.0000  0.0000 [3 per cell]
Na  0.0000  0.0000  0.2902 [3 per cell]
Na  0.0000  0.0000  0.8018 [3 per cell]
Pm  0.0000  0.0000  0.4851 [3 per cell]
Br  0.0004  0.3475  0.2215 [9 per cell]
Br  0.0249  0.6241  0.0616 [9 per cell]

Top 8 peaks for 5° ≤ 2θ ≤ 70°, sorted by position:
- 14.02 deg, I = 32
- 15.83 deg, I = 32
- 21.66 deg, I = 15
- 26.58 deg, I = 100
- 34.83 deg, I = 57
- 39.91 deg, I = 14
- 40.84 deg, I = 37
- 45.71 deg, I = 25